NiBiP2O9: theoretical X-ray diffraction stick pattern (Cu Kα (weighted mean of Kα1 and Kα2)), based on a structure optimized by DFT (PBE+U).

Atomic structure:
a = 14.3563 Å, b = 6.5835 Å, c = 8.0480 Å
α = 90.00°, β = 90.00°, γ = 90.00°
Fractional coordinates of all 52 atoms:
Ni1 0.0000 0.0000 0.0000
Ni2 0.0000 0.5000 0.0000
Ni3 0.5000 0.0000 0.5000
Ni4 0.5000 0.5000 0.5000
Bi1 0.1250 0.2500 0.3421
Bi2 0.3750 0.7500 0.8421
Bi3 0.6250 0.2500 0.1579
Bi4 0.8750 0.7500 0.6579
P1 0.0609 0.7500 0.3413
P2 0.1800 0.7500 0.8928
P3 0.3200 0.2500 0.3928
P4 0.4391 0.2500 0.8413
P5 0.5609 0.7500 0.1587
P6 0.6800 0.7500 0.6072
P7 0.8200 0.2500 0.1072
P8 0.9391 0.2500 0.6587
O1 0.0157 0.2500 0.5262
O2 0.0198 0.7500 0.1650
O3 0.0464 0.2500 0.1289
O4 0.1223 0.5543 0.9090
O5 0.1223 0.9457 0.9090
O6 0.1304 0.5700 0.3666
O7 0.1304 0.9300 0.3666
O8 0.2361 0.2500 0.5240
O9 0.2358 0.7500 0.7241
O10 0.2642 0.2500 0.2241
O11 0.2639 0.7500 0.0240
O12 0.3696 0.0700 0.8666
O13 0.3696 0.4300 0.8666
O14 0.3777 0.0543 0.4090
O15 0.3777 0.4457 0.4090
O16 0.4536 0.7500 0.6289
O17 0.4802 0.2500 0.6650
O18 0.4843 0.7500 0.0262
O19 0.5157 0.2500 0.9738
O20 0.5198 0.7500 0.3350
O21 0.5464 0.2500 0.3711
O22 0.6223 0.5543 0.5910
O23 0.6223 0.9457 0.5910
O24 0.6304 0.5700 0.1334
O25 0.6304 0.9300 0.1334
O26 0.7361 0.2500 0.9760
O27 0.7358 0.7500 0.7759
O28 0.7642 0.2500 0.2759
O29 0.7639 0.7500 0.4760
O30 0.8696 0.0700 0.6334
O31 0.8696 0.4300 0.6334
O32 0.8777 0.0543 0.0910
O33 0.8777 0.4457 0.0910
O34 0.9536 0.7500 0.8711
O35 0.9802 0.2500 0.8350
O36 0.9843 0.7500 0.4738

Largest 8 diffraction maxima, most intense first, 2θ from 10° to 80°:
| 2θ (°) | I_rel |
| --- | --- |
| 16.55 | 100 |
| 17.40 | 71 |
| 22.95 | 54 |
| 18.48 | 53 |
| 18.29 | 41 |
| 31.91 | 38 |
| 30.46 | 37 |
| 29.98 | 33 |


MgV12Zn6O24: theoretical X-ray diffraction stick pattern (Cu Kα (weighted mean of Kα1 and Kα2)), based on a structure optimized by DFT (PBE+U).

Atomic structure:
a = 6.0569 Å, b = 6.1526 Å, c = 14.9412 Å
α = 90.47°, β = 90.28°, γ = 119.16°
Fractional coordinates of all 43 atoms:
Mg1 0.0000 0.0000 0.0000
V1 0.1700 0.8455 0.8235
V2 0.3051 0.1180 0.1711
V3 0.3092 0.6176 0.1602
V4 0.4816 0.9681 0.0009
V5 0.4854 0.9653 0.3744
V6 0.4936 0.4763 0.4964
V7 0.6690 0.3400 0.8319
V8 0.6700 0.8442 0.8231
V9 0.8145 0.1180 0.1712
V10 0.8291 0.6554 0.6629
V11 0.9887 0.4773 0.4959
V12 0.9891 0.9741 0.4953
Zn1 0.1561 0.3079 0.3301
Zn2 0.1676 0.3335 0.6989
Zn3 0.1782 0.3698 0.8973
Zn4 0.4959 0.9880 0.6203
Zn5 0.7780 0.5610 0.0449
Zn6 0.8146 0.6260 0.2848
O1 0.9995 0.5241 0.7490
O2 0.1294 0.8046 0.5759
O3 0.1359 0.2732 0.0927
O4 0.1527 0.8041 0.0844
O5 0.1564 0.3100 0.5658
O6 0.3092 0.6224 0.4201
O7 0.3191 0.1441 0.9135
O8 0.3240 0.1537 0.4207
O9 0.3522 0.7106 0.8980
O10 0.4576 0.4499 0.2394
O11 0.4759 0.9475 0.2439
O12 0.5012 0.0042 0.7534
O13 0.5280 0.5288 0.7472
O14 0.6236 0.2481 0.0984
O15 0.6497 0.8044 0.0847
O16 0.6645 0.7915 0.5739
O17 0.6817 0.3452 0.5761
O18 0.8164 0.1389 0.9141
O19 0.8253 0.6424 0.4230
O20 0.8355 0.1418 0.4196
O21 0.8440 0.6906 0.9110
O22 0.9908 0.9797 0.7452
O23 0.9933 0.9815 0.2464
O24 0.9952 0.4499 0.2391

Largest 8 diffraction maxima, most intense first, 2θ from 10° to 80°:
| 2θ (°) | I_rel |
| --- | --- |
| 34.36 | 100 |
| 34.51 | 57 |
| 34.59 | 48 |
| 29.46 | 45 |
| 41.65 | 42 |
| 33.96 | 32 |
| 55.05 | 28 |
| 28.91 | 27 |


ZnFeH4O2F5: theoretical X-ray diffraction stick pattern (Cu Kα (weighted mean of Kα1 and Kα2)), based on a structure optimized by DFT (PBE+U).

Atomic structure:
a = 7.4440 Å, b = 7.4440 Å, c = 7.4440 Å
α = 118.51°, β = 84.59°, γ = 128.10°
Fractional coordinates of all 26 atoms:
Zn1 0.2478 0.0000 0.2478
Zn2 0.7522 0.0000 0.7522
Fe1 0.2516 0.0011 0.7495
Fe2 0.2516 0.5021 0.2505
H1 0.0307 0.2659 0.5561
H2 0.0307 0.4745 0.7647
H3 0.4557 0.5180 0.7290
H4 0.4557 0.7267 0.9378
H5 0.7098 0.2659 0.2353
H6 0.7098 0.4745 0.4439
H7 0.7890 0.5180 0.0622
H8 0.7890 0.7267 0.2710
O1 0.5204 0.7057 0.8147
O2 0.6062 0.2979 0.3083
O3 0.8909 0.7057 0.1853
O4 0.9896 0.2979 0.6917
F1 0.1661 0.6661 0.5000
F2 0.1702 0.2541 0.3350
F3 0.1702 0.8352 0.9161
F4 0.3286 0.1633 0.5806
F5 0.3286 0.7480 0.1654
F6 0.3311 0.3311 0.0000
F7 0.5827 0.1633 0.8346
F8 0.5827 0.7480 0.4194
F9 0.9191 0.2541 0.0839
F10 0.9191 0.8352 0.6650

Largest 8 diffraction maxima, most intense first, 2θ from 10° to 80°:
| 2θ (°) | I_rel |
| --- | --- |
| 15.80 | 100 |
| 28.51 | 71 |
| 24.18 | 62 |
| 17.92 | 53 |
| 49.53 | 49 |
| 31.92 | 43 |
| 27.90 | 38 |
| 28.34 | 37 |


Li2Fe3Si3O10: theoretical X-ray diffraction stick pattern (Cu Kα (weighted mean of Kα1 and Kα2)), based on a structure optimized by DFT (PBE+U).

Atomic structure:
a = 8.3749 Å, b = 8.3749 Å, c = 10.4938 Å
α = 93.45°, β = 93.45°, γ = 33.76°
Fractional coordinates of all 36 atoms:
Li1 0.1465 0.7346 0.5218
Li2 0.2654 0.8535 0.9782
Li3 0.7346 0.1465 0.0218
Li4 0.8535 0.2654 0.4782
Fe1 0.0000 0.5000 0.5000
Fe2 0.0606 0.6269 0.7907
Fe3 0.3731 0.9394 0.7093
Fe4 0.5000 0.0000 0.0000
Fe5 0.6269 0.0606 0.2907
Fe6 0.9394 0.3731 0.2093
Si1 0.1604 0.5311 0.0971
Si2 0.1875 0.8125 0.2500
Si3 0.4689 0.8396 0.4029
Si4 0.5311 0.1604 0.5971
Si5 0.8125 0.1875 0.7500
Si6 0.8396 0.4689 0.9029
O1 0.0418 0.0503 0.6447
O2 0.0503 0.0418 0.1447
O3 0.1353 0.1766 0.4001
O4 0.1766 0.1353 0.9001
O5 0.2415 0.3006 0.1702
O6 0.3006 0.2415 0.6702
O7 0.3051 0.3892 0.9562
O8 0.3475 0.5228 0.1741
O9 0.3892 0.3051 0.4562
O10 0.4772 0.6525 0.3259
O11 0.5228 0.3475 0.6741
O12 0.6108 0.6949 0.5438
O13 0.6525 0.4772 0.8259
O14 0.6949 0.6108 0.0438
O15 0.6994 0.7585 0.3298
O16 0.7585 0.6994 0.8298
O17 0.8234 0.8647 0.0999
O18 0.8647 0.8234 0.5999
O19 0.9497 0.9582 0.8553
O20 0.9582 0.9497 0.3553

Largest 8 diffraction maxima, most intense first, 2θ from 10° to 80°:
| 2θ (°) | I_rel |
| --- | --- |
| 25.87 | 100 |
| 11.06 | 82 |
| 32.34 | 48 |
| 35.08 | 40 |
| 36.64 | 30 |
| 34.19 | 22 |
| 19.67 | 22 |
| 31.76 | 18 |